[1]
The following is a theoretical powder diffraction line list of ThNp2Se5. It was derived from a DFT-relaxed cell (PBE, Alexandria), using Cu Kα X-rays.
Peak positions follow from Bragg's law for the DFT cell and can differ from measured ones.

Structural model:
```
data_ThNp2Se5
_symmetry_space_group_name_H-M 'P n m a'
_symmetry_Int_Tables_number 62
_cell_length_a 12.3968
_cell_length_b 8.4238
_cell_length_c 7.8199
_cell_angle_alpha 90.00
_cell_angle_beta 90.00
_cell_angle_gamma 90.00
loop_
_symmetry_equiv_pos_as_xyz
'x,y,z'
'-x,-y,-z'
'-x+1/2,-y,z+1/2'
'x+1/2,y,-z+1/2'
'x+1/2,-y+1/2,-z+1/2'
'-x+1/2,y+1/2,z+1/2'
'-x,y+1/2,-z'
'x,-y+1/2,z'
loop_
_atom_site_label
_atom_site_type_symbol
_atom_site_fract_x
_atom_site_fract_y
_atom_site_fract_z
Th1 Th 0.0088 0.2500 0.0826
Np1 Np 0.1793 0.0014 0.5191
Se1 Se 0.0010 0.7500 0.5328
Se2 Se 0.1019 0.5484 0.1662
Se3 Se 0.1869 0.2500 0.8258
Se4 Se 0.2213 0.7500 0.7956
```

Peak list (10 most intense, 2θ from 15° to 90°, by intensity)
| index | 2θ (°) | I_rel |
| --- | --- | --- |
| 2 2 2 | 34.48 | 100 |
| 3 0 1 | 24.36 | 82 |
| 6 0 2 | 49.96 | 58 |
| 2 2 0 | 25.57 | 56 |
| 5 2 1 | 43.93 | 53 |
| 1 2 1 | 25.07 | 50 |
| 4 2 0 | 35.99 | 48 |
| 3 2 1 | 32.44 | 44 |
| 0 4 0 | 42.95 | 44 |
| 0 0 2 | 22.74 | 40 |

[2]
The following is a theoretical powder diffraction line list of Hf12Zr6In. It was derived from a DFT-relaxed cell (PBE, Alexandria), using Cu Kα X-rays.
Peak positions follow from Bragg's law for the DFT cell and can differ from measured ones.

Structural model:
```
data_Hf12Zr6In
_symmetry_space_group_name_H-M 'P -1'
_symmetry_Int_Tables_number 2
_cell_length_a 7.1107
_cell_length_b 8.4001
_cell_length_c 8.4103
_cell_angle_alpha 93.95
_cell_angle_beta 114.95
_cell_angle_gamma 104.94
loop_
_symmetry_equiv_pos_as_xyz
'x,y,z'
'-x,-y,-z'
loop_
_atom_site_label
_atom_site_type_symbol
_atom_site_fract_x
_atom_site_fract_y
_atom_site_fract_z
Hf1 Hf 0.0206 0.4458 0.1810
Hf2 Hf 0.0836 0.3436 0.5530
Hf3 Hf 0.1271 0.2332 0.9142
Hf4 Hf 0.2288 0.0184 0.6611
Hf5 Hf 0.2940 0.9234 0.0272
Hf6 Hf 0.3898 0.7124 0.7671
Zr1 Zr 0.1817 0.1323 0.2841
Zr2 Zr 0.3356 0.8126 0.3963
Zr3 Zr 0.4449 0.6049 0.1299
In1 In 0.5000 0.5000 0.5000
```

Peak list (10 most intense, 2θ from 15° to 90°, by intensity)
| index | 2θ (°) | I_rel |
| --- | --- | --- |
| 1 -2 2 | 34.57 | 100 |
| 0 1 3 | 40.08 | 33 |
| 4 -4 1 | 69.28 | 23 |
| 2 -5 1 | 58.00 | 17 |
| 1 4 1 | 58.12 | 17 |
| 1 3 -2 | 40.25 | 16 |
| 0 6 -1 | 69.50 | 10 |
| 2 -4 4 | 72.90 | 8 |
| 2 2 3 | 69.36 | 3 |
| 3 4 -2 | 69.59 | 3 |

[3]
The following is a theoretical powder diffraction line list of Sm3Sb4Pd3. It was derived from a DFT-relaxed cell (PBE, Alexandria), using Cu Kα X-rays.
Peak positions follow from Bragg's law for the DFT cell and can differ from measured ones.

Structural model:
```
data_Sm3Sb4Pd3
_symmetry_space_group_name_H-M 'I -4 3 d'
_symmetry_Int_Tables_number 220
_symmetry_space_group_name_Hall 'I -4bd 2c 3'
_cell_length_a 9.8928
_cell_length_b 9.8928
_cell_length_c 9.8928
_cell_angle_alpha 90.00
_cell_angle_beta 90.00
_cell_angle_gamma 90.00
loop_
_atom_site_label
_atom_site_type_symbol
_atom_site_fract_x
_atom_site_fract_y
_atom_site_fract_z
Sm1 Sm 0.0000 0.2500 0.3750
Sb1 Sb 0.0801 0.0801 0.0801
Pd1 Pd 0.0000 0.2500 0.8750
```

Peak list (10 most intense, 2θ from 15° to 90°, by intensity)
| index | 2θ (°) | I_rel |
| --- | --- | --- |
| 3 2 1 | 33.90 | 100 |
| 4 2 0 | 40.79 | 40 |
| 3 1 0 | 28.53 | 30 |
| 4 2 2 | 44.89 | 16 |
| 5 5 2 | 69.87 | 14 |
| 6 2 0 | 59.06 | 13 |
| 6 1 1 | 57.42 | 12 |
| 3 3 2 | 42.88 | 11 |
| 4 3 1 | 46.83 | 11 |
| 4 4 4 | 65.35 | 10 |

[4]
The following is a theoretical powder diffraction line list of Li2LaAu. It was derived from a DFT-relaxed cell (PBE, Alexandria), using Cu Kα X-rays.
Peak positions follow from Bragg's law for the DFT cell and can differ from measured ones.

Structural model:
```
data_Li2LaAu
_symmetry_space_group_name_H-M 'P m m n'
_symmetry_Int_Tables_number 59
_cell_length_a 4.8116
_cell_length_b 5.7531
_cell_length_c 6.5731
_cell_angle_alpha 90.00
_cell_angle_beta 90.00
_cell_angle_gamma 90.00
loop_
_symmetry_equiv_pos_as_xyz
'x,y,z'
'-x,-y,-z'
'-x+1/2,-y+1/2,z'
'x+1/2,y+1/2,-z'
'x+1/2,-y,-z'
'-x+1/2,y,z'
'-x,y+1/2,-z'
'x,-y+1/2,z'
loop_
_atom_site_label
_atom_site_type_symbol
_atom_site_fract_x
_atom_site_fract_y
_atom_site_fract_z
Li1 Li 0.2500 0.0111 0.0985
La1 La 0.2500 0.2500 0.5756
Au1 Au 0.2500 0.7500 0.7474
```

Peak list (10 most intense, 2θ from 15° to 90°, by intensity)
| index | 2θ (°) | I_rel |
| --- | --- | --- |
| 1 0 1 | 22.91 | 100 |
| 1 1 2 | 36.61 | 73 |
| 1 2 1 | 38.97 | 57 |
| 0 2 0 | 31.09 | 38 |
| 0 1 1 | 20.52 | 36 |
| 2 1 3 | 59.27 | 34 |
| 0 1 3 | 44.23 | 31 |
| 1 1 1 | 27.72 | 27 |
| 2 0 0 | 37.38 | 27 |
| 2 2 0 | 49.38 | 21 |

[5]
The following is a theoretical powder diffraction line list of Dy5Ho4Zr2. It was derived from a DFT-relaxed cell (PBE, Alexandria), using Cu Kα X-rays.
Peak positions follow from Bragg's law for the DFT cell and can differ from measured ones.

Structural model:
```
data_Dy5Ho4Zr2
_symmetry_space_group_name_H-M 'P 1 2/m 1'
_symmetry_Int_Tables_number 10
_cell_length_a 8.6049
_cell_length_b 3.4315
_cell_length_c 11.2699
_cell_angle_alpha 90.00
_cell_angle_beta 93.63
_cell_angle_gamma 90.00
loop_
_symmetry_equiv_pos_as_xyz
'x,y,z'
'-x,-y,-z'
'-x,y,-z'
'x,-y,z'
loop_
_atom_site_label
_atom_site_type_symbol
_atom_site_fract_x
_atom_site_fract_y
_atom_site_fract_z
Dy1 Dy 0.0000 0.0000 0.0000
Dy2 Dy 0.0797 0.0000 0.2952
Dy3 Dy 0.3074 0.0000 0.8311
Ho1 Ho 0.2287 0.5000 0.5506
Ho2 Ho 0.3441 0.5000 0.1187
Zr1 Zr 0.4477 0.0000 0.3692
```

Peak list (10 most intense, 2θ from 15° to 90°, by intensity)
| index | 2θ (°) | I_rel |
| --- | --- | --- |
| 2 0 3 | 32.66 | 100 |
| 3 0 -1 | 31.77 | 62 |
| 1 0 -4 | 32.88 | 59 |
| 1 1 -2 | 31.95 | 47 |
| 2 1 1 | 34.71 | 39 |
| 2 1 -2 | 36.56 | 29 |
| 2 1 0 | 33.43 | 24 |
| 1 2 -4 | 64.17 | 23 |
| 0 1 2 | 30.52 | 23 |
| 1 1 5 | 50.19 | 22 |

[6]
The following is a theoretical powder diffraction line list of Ce4DySb5. It was derived from a DFT-relaxed cell (PBE, Alexandria), using Cu Kα X-rays.
Peak positions follow from Bragg's law for the DFT cell and can differ from measured ones.

Structural model:
```
data_Ce4DySb5
_symmetry_space_group_name_H-M 'I 4/m m m'
_symmetry_Int_Tables_number 139
_symmetry_space_group_name_Hall '-I 4 2'
_cell_length_a 4.4800
_cell_length_b 4.4800
_cell_length_c 31.6173
_cell_angle_alpha 90.00
_cell_angle_beta 90.00
_cell_angle_gamma 90.00
loop_
_atom_site_label
_atom_site_type_symbol
_atom_site_fract_x
_atom_site_fract_y
_atom_site_fract_z
Ce1 Ce 0.0000 0.0000 0.0992
Ce2 Ce 0.0000 0.0000 0.3006
Dy1 Dy 0.0000 0.0000 0.5000
Sb1 Sb 0.0000 0.0000 0.0000
Sb2 Sb 0.0000 0.0000 0.1999
Sb3 Sb 0.0000 0.0000 0.4015
```

Peak list (10 most intense, 2θ from 15° to 90°, by intensity)
| index | 2θ (°) | I_rel |
| --- | --- | --- |
| 1 1 0 | 28.19 | 100 |
| 2 0 0 | 40.29 | 76 |
| 2 0 10 | 49.89 | 27 |
| 3 1 10 | 73.24 | 26 |
| 3 1 0 | 65.95 | 23 |
| 1 1 20 | 66.05 | 12 |
| 2 2 0 | 58.25 | 9 |
| 2 2 20 | 87.10 | 6 |
| 0 0 20 | 58.37 | 4 |
| 4 0 0 | 87.00 | 3 |